# 1
This entry pairs a crystal structure of Dy6Ga19Pt3 with its simulated X-ray powder pattern. Radiation: copper Kα. Structure: a structure optimized by DFT (GGA-PBE).

Principal peaks in the range 2θ from 15° to 90°, sorted by position:
2θ 34.0, I 32.3
2θ 34.1, I 20.1
2θ 35.1, I 100.0
2θ 35.3, I 21.8
2θ 35.4, I 96.5
2θ 43.0, I 52.6
2θ 44.1, I 34.8
2θ 63.3, I 26.1

Structure:
```
data_Dy6Ga19Pt3
_chemical_formula_sum 'Dy6 Ga19 Pt3'
_cell_length_a 8.2061
_cell_length_b 8.2061
_cell_length_c 16.0708
_cell_angle_alpha 100.56
_cell_angle_beta 100.56
_cell_angle_gamma 29.72
_symmetry_space_group_name_H-M 'P 1'
_symmetry_Int_Tables_number 1
loop_
_symmetry_equiv_pos_as_xyz
'x,y,z'
loop_
_atom_site_label
_atom_site_fract_x
_atom_site_fract_y
_atom_site_fract_z
_atom_site_occupancy
Dy1 0.0000 0.0000 0.0000 1
Dy2 0.1654 0.1654 0.8408 1
Dy3 0.3229 0.3229 0.6750 1
Dy4 0.5007 0.5007 0.5003 1
Dy5 0.6617 0.6617 0.3408 1
Dy6 0.8202 0.8202 0.1785 1
Ga1 0.0166 0.0166 0.3590 1
Ga2 0.0840 0.0840 0.6325 1
Ga3 0.1400 0.1400 0.4846 1
Ga4 0.1800 0.1800 0.1998 1
Ga5 0.2276 0.2276 0.0493 1
Ga6 0.3067 0.3067 0.3185 1
Ga7 0.3682 0.3682 0.9044 1
Ga8 0.4165 0.4165 0.0943 1
Ga9 0.4556 0.4556 0.2686 1
Ga10 0.5179 0.5179 0.8588 1
Ga11 0.5918 0.5918 0.1360 1
Ga12 0.6401 0.6401 0.9843 1
Ga13 0.6825 0.6825 0.6896 1
Ga14 0.7321 0.7321 0.5410 1
Ga15 0.8059 0.8059 0.9818 1
Ga16 0.8072 0.8072 0.8139 1
Ga17 0.8664 0.8664 0.4101 1
Ga18 0.9057 0.9057 0.5823 1
Ga19 0.9561 0.9561 0.7584 1
Pt1 0.0172 0.0172 0.1966 1
Pt2 0.3016 0.3016 0.4778 1
Pt3 0.5261 0.5261 0.7036 1
```



# 2
This entry pairs a crystal structure of DyScGaPt with its simulated X-ray powder pattern. Radiation: copper Kα. Structure: a structure optimized by DFT (GGA-PBE).

Principal peaks in the range 2θ from 15° to 90°, sorted by position:
2θ 20.2, I 44.4
2θ 26.0, I 31.8
2θ 33.2, I 82.7
2θ 33.7, I 25.2
2θ 35.5, I 28.6
2θ 39.7, I 43.9
2θ 41.2, I 100.0
2θ 66.1, I 19.6

Structure:
```
data_DyScGaPt
_chemical_formula_sum 'Dy1 Sc1 Ga1 Pt1'
_cell_length_a 4.3866
_cell_length_b 5.6124
_cell_length_c 5.6124
_cell_angle_alpha 37.55
_cell_angle_beta 90.00
_cell_angle_gamma 90.00
_symmetry_space_group_name_H-M 'P 1'
_symmetry_Int_Tables_number 1
loop_
_symmetry_equiv_pos_as_xyz
'x,y,z'
loop_
_atom_site_label
_atom_site_fract_x
_atom_site_fract_y
_atom_site_fract_z
_atom_site_occupancy
Dy1 0.0000 0.0000 0.0000 1
Sc1 0.5000 0.2878 0.2878 1
Ga1 0.5000 0.5744 0.5744 1
Pt1 0.0000 0.7278 0.7278 1
```



# 3
This entry pairs a crystal structure of Dy2ScGa4Pt3 with its simulated X-ray powder pattern. Radiation: copper Kα. Structure: a structure optimized by DFT (GGA-PBE).

Principal peaks in the range 2θ from 15° to 90°, sorted by position:
2θ 31.3, I 22.0
2θ 31.6, I 63.4
2θ 34.8, I 100.0
2θ 44.0, I 24.4
2θ 44.2, I 51.3
2θ 44.9, I 57.3
2θ 55.9, I 25.6
2θ 64.8, I 32.9

Structure:
```
data_Dy2ScGa4Pt3
_chemical_formula_sum 'Dy2 Sc1 Ga4 Pt3'
_cell_length_a 4.0414
_cell_length_b 4.0414
_cell_length_c 11.8830
_cell_angle_alpha 90.00
_cell_angle_beta 90.00
_cell_angle_gamma 90.00
_symmetry_space_group_name_H-M 'P 1'
_symmetry_Int_Tables_number 1
loop_
_symmetry_equiv_pos_as_xyz
'x,y,z'
loop_
_atom_site_label
_atom_site_fract_x
_atom_site_fract_y
_atom_site_fract_z
_atom_site_occupancy
Dy1 0.0000 0.5000 0.2375 1
Dy2 0.5000 0.0000 0.7625 1
Sc1 0.0000 0.0000 0.5000 1
Ga1 0.0000 0.0000 0.0000 1
Ga2 0.0000 0.5000 0.6542 1
Ga3 0.5000 0.0000 0.3458 1
Ga4 0.5000 0.5000 0.0000 1
Pt1 0.0000 0.5000 0.8630 1
Pt2 0.5000 0.0000 0.1370 1
Pt3 0.5000 0.5000 0.5000 1
```



# 4
This entry pairs a crystal structure of Dy2GaSiPt6 with its simulated X-ray powder pattern. Radiation: copper Kα. Structure: a structure optimized by DFT (GGA-PBE).

Principal peaks in the range 2θ from 15° to 90°, sorted by position:
2θ 30.2, I 84.2
2θ 34.3, I 31.8
2θ 38.6, I 100.0
2θ 39.3, I 63.5
2θ 41.9, I 52.5
2θ 42.6, I 42.2
2θ 44.8, I 24.7
2θ 58.8, I 45.5

Structure:
```
data_Dy2GaSiPt6
_chemical_formula_sum 'Dy4 Ga2 Si2 Pt12'
_cell_length_a 5.5472
_cell_length_b 8.6231
_cell_length_c 8.1385
_cell_angle_alpha 90.00
_cell_angle_beta 90.00
_cell_angle_gamma 90.00
_symmetry_space_group_name_H-M 'P 1'
_symmetry_Int_Tables_number 1
loop_
_symmetry_equiv_pos_as_xyz
'x,y,z'
loop_
_atom_site_label
_atom_site_fract_x
_atom_site_fract_y
_atom_site_fract_z
_atom_site_occupancy
Dy1 0.2500 0.0035 0.2329 1
Dy2 0.2500 0.4965 0.2329 1
Dy3 0.7500 0.5035 0.7671 1
Dy4 0.7500 0.9965 0.7671 1
Ga1 0.2500 0.7500 0.7730 1
Ga2 0.7500 0.2500 0.2270 1
Si1 0.2500 0.2500 0.7449 1
Si2 0.7500 0.7500 0.2551 1
Pt1 0.0008 0.7500 0.0234 1
Pt2 0.0005 0.7500 0.5053 1
Pt3 0.2500 0.0013 0.6135 1
Pt4 0.2500 0.4987 0.6135 1
Pt5 0.4992 0.7500 0.0234 1
Pt6 0.4995 0.7500 0.5053 1
Pt7 0.5005 0.2500 0.4947 1
Pt8 0.5008 0.2500 0.9766 1
Pt9 0.7500 0.5013 0.3865 1
Pt10 0.7500 0.9987 0.3865 1
Pt11 0.9995 0.2500 0.4947 1
Pt12 0.9992 0.2500 0.9766 1
```



# 5
This entry pairs a crystal structure of DyGa2Si2Pt7 with its simulated X-ray powder pattern. Radiation: copper Kα. Structure: a structure optimized by DFT (GGA-PBE).

Principal peaks in the range 2θ from 15° to 90°, sorted by position:
2θ 31.9, I 64.9
2θ 34.6, I 82.1
2θ 35.2, I 83.3
2θ 36.8, I 98.2
2θ 37.6, I 100.0
2θ 45.3, I 47.9
2θ 46.1, I 91.6
2θ 67.2, I 45.5

Structure:
```
data_DyGa2Si2Pt7
_chemical_formula_sum 'Dy1 Ga2 Si2 Pt7'
_cell_length_a 3.9434
_cell_length_b 3.9434
_cell_length_c 14.1824
_cell_angle_alpha 96.15
_cell_angle_beta 96.15
_cell_angle_gamma 89.93
_symmetry_space_group_name_H-M 'P 1'
_symmetry_Int_Tables_number 1
loop_
_symmetry_equiv_pos_as_xyz
'x,y,z'
loop_
_atom_site_label
_atom_site_fract_x
_atom_site_fract_y
_atom_site_fract_z
_atom_site_occupancy
Dy1 0.0000 0.0000 0.0000 1
Ga1 0.0993 0.0993 0.4098 1
Ga2 0.9007 0.9007 0.5902 1
Si1 0.4015 0.4015 0.7432 1
Si2 0.5985 0.5985 0.2568 1
Pt1 0.0616 0.5620 0.1598 1
Pt2 0.3671 0.3671 0.5782 1
Pt3 0.4380 0.9384 0.8402 1
Pt4 0.5000 0.5000 0.0000 1
Pt5 0.5620 0.0616 0.1598 1
Pt6 0.6329 0.6329 0.4218 1
Pt7 0.9384 0.4380 0.8402 1
```



# 6
This entry pairs a crystal structure of SmDyGa5Pt2 with its simulated X-ray powder pattern. Radiation: copper Kα. Structure: a structure optimized by DFT (GGA-PBE).

Principal peaks in the range 2θ from 15° to 90°, sorted by position:
2θ 23.4, I 22.8
2θ 27.5, I 21.3
2θ 31.2, I 34.2
2θ 33.3, I 33.8
2θ 35.5, I 100.0
2θ 40.2, I 92.5
2θ 44.7, I 64.8
2θ 61.7, I 34.5

Structure:
```
data_SmDyGa5Pt2
_chemical_formula_sum 'Sm1 Dy1 Ga5 Pt2'
_cell_length_a 4.0565
_cell_length_b 4.0565
_cell_length_c 10.7635
_cell_angle_alpha 90.00
_cell_angle_beta 90.00
_cell_angle_gamma 90.00
_symmetry_space_group_name_H-M 'P 1'
_symmetry_Int_Tables_number 1
loop_
_symmetry_equiv_pos_as_xyz
'x,y,z'
loop_
_atom_site_label
_atom_site_fract_x
_atom_site_fract_y
_atom_site_fract_z
_atom_site_occupancy
Sm1 0.0000 0.0000 0.0000 1
Dy1 0.0000 0.0000 0.5000 1
Ga1 0.0000 0.5000 0.2238 1
Ga2 0.0000 0.5000 0.7762 1
Ga3 0.5000 0.0000 0.2238 1
Ga4 0.5000 0.0000 0.7762 1
Ga5 0.5000 0.5000 0.0000 1
Pt1 0.5000 0.5000 0.3776 1
Pt2 0.5000 0.5000 0.6224 1
```



# 7
This entry pairs a crystal structure of Sr2DyGa3Pt4 with its simulated X-ray powder pattern. Radiation: copper Kα. Structure: a structure optimized by DFT (GGA-PBE).

Principal peaks in the range 2θ from 15° to 90°, sorted by position:
2θ 15.9, I 19.1
2θ 21.6, I 22.0
2θ 31.5, I 20.8
2θ 32.9, I 100.0
2θ 40.8, I 59.6
2θ 43.5, I 46.6
2θ 59.1, I 20.1
2θ 69.3, I 23.4

Structure:
```
data_Sr2DyGa3Pt4
_chemical_formula_sum 'Sr2 Dy1 Ga3 Pt4'
_cell_length_a 4.4207
_cell_length_b 4.4207
_cell_length_c 11.1339
_cell_angle_alpha 90.00
_cell_angle_beta 90.00
_cell_angle_gamma 90.00
_symmetry_space_group_name_H-M 'P 1'
_symmetry_Int_Tables_number 1
loop_
_symmetry_equiv_pos_as_xyz
'x,y,z'
loop_
_atom_site_label
_atom_site_fract_x
_atom_site_fract_y
_atom_site_fract_z
_atom_site_occupancy
Sr1 0.0000 0.5000 0.2273 1
Sr2 0.5000 0.0000 0.7727 1
Dy1 0.0000 0.0000 0.5000 1
Ga1 0.0000 0.5000 0.8833 1
Ga2 0.5000 0.0000 0.1167 1
Ga3 0.5000 0.5000 0.5000 1
Pt1 0.0000 0.0000 0.0000 1
Pt2 0.0000 0.5000 0.6529 1
Pt3 0.5000 0.0000 0.3471 1
Pt4 0.5000 0.5000 0.0000 1
```



# 8
This entry pairs a crystal structure of Dy2Y2Ga4Pt with its simulated X-ray powder pattern. Radiation: copper Kα. Structure: a structure optimized by DFT (GGA-PBE).

Principal peaks in the range 2θ from 15° to 90°, sorted by position:
2θ 25.3, I 41.0
2θ 27.3, I 61.1
2θ 32.8, I 81.7
2θ 33.6, I 31.9
2θ 36.1, I 100.0
2θ 42.5, I 33.0
2θ 52.0, I 35.0
2θ 56.4, I 37.3

Structure:
```
data_Dy2Y2Ga4Pt
_chemical_formula_sum 'Dy2 Y2 Ga4 Pt1'
_cell_length_a 6.5924
_cell_length_b 6.5924
_cell_length_c 6.5924
_cell_angle_alpha 115.50
_cell_angle_beta 115.50
_cell_angle_gamma 97.98
_symmetry_space_group_name_H-M 'P 1'
_symmetry_Int_Tables_number 1
loop_
_symmetry_equiv_pos_as_xyz
'x,y,z'
loop_
_atom_site_label
_atom_site_fract_x
_atom_site_fract_y
_atom_site_fract_z
_atom_site_occupancy
Dy1 0.2500 0.7500 0.5000 1
Dy2 0.7500 0.2500 0.5000 1
Y1 0.1889 0.1889 0.0000 1
Y2 0.8111 0.8111 0.0000 1
Ga1 0.2502 0.2502 0.5005 1
Ga2 0.2502 0.7498 0.0000 1
Ga3 0.7498 0.2502 0.0000 1
Ga4 0.7498 0.7498 0.4995 1
Pt1 0.5000 0.5000 0.0000 1
```



# 9
This entry pairs a crystal structure of Dy2ZrGa3Pt4 with its simulated X-ray powder pattern. Radiation: copper Kα. Structure: a structure optimized by DFT (GGA-PBE).

Principal peaks in the range 2θ from 15° to 90°, sorted by position:
2θ 31.9, I 28.8
2θ 34.6, I 100.0
2θ 44.1, I 48.9
2θ 44.4, I 23.0
2θ 45.2, I 28.6
2θ 64.2, I 16.1
2θ 65.0, I 19.4
2θ 75.0, I 21.4

Structure:
```
data_Dy2ZrGa3Pt4
_chemical_formula_sum 'Dy2 Zr1 Ga3 Pt4'
_cell_length_a 4.1060
_cell_length_b 4.1060
_cell_length_c 11.4954
_cell_angle_alpha 90.00
_cell_angle_beta 90.00
_cell_angle_gamma 90.00
_symmetry_space_group_name_H-M 'P 1'
_symmetry_Int_Tables_number 1
loop_
_symmetry_equiv_pos_as_xyz
'x,y,z'
loop_
_atom_site_label
_atom_site_fract_x
_atom_site_fract_y
_atom_site_fract_z
_atom_site_occupancy
Dy1 0.0000 0.5000 0.2344 1
Dy2 0.5000 0.0000 0.7656 1
Zr1 0.0000 0.0000 0.5000 1
Ga1 0.0000 0.5000 0.8692 1
Ga2 0.5000 0.0000 0.1308 1
Ga3 0.5000 0.5000 0.5000 1
Pt1 0.0000 0.0000 0.0000 1
Pt2 0.0000 0.5000 0.6542 1
Pt3 0.5000 0.0000 0.3458 1
Pt4 0.5000 0.5000 0.0000 1
```



# 10
This entry pairs a crystal structure of Dy2PuGa with its simulated X-ray powder pattern. Radiation: copper Kα. Structure: a structure optimized by DFT (GGA-PBE).

Principal peaks in the range 2θ from 15° to 90°, sorted by position:
2θ 18.6, I 12.9
2θ 33.3, I 100.0
2θ 37.8, I 35.5
2θ 40.1, I 15.0
2θ 54.5, I 12.4
2θ 56.3, I 22.6
2θ 65.4, I 29.9
2θ 68.6, I 12.5

Structure:
```
data_Dy2PuGa
_chemical_formula_sum 'Dy2 Pu1 Ga1'
_cell_length_a 4.7609
_cell_length_b 4.7609
_cell_length_c 4.4943
_cell_angle_alpha 90.00
_cell_angle_beta 90.00
_cell_angle_gamma 90.00
_symmetry_space_group_name_H-M 'P 1'
_symmetry_Int_Tables_number 1
loop_
_symmetry_equiv_pos_as_xyz
'x,y,z'
loop_
_atom_site_label
_atom_site_fract_x
_atom_site_fract_y
_atom_site_fract_z
_atom_site_occupancy
Dy1 0.0000 0.5000 0.0000 1
Dy2 0.5000 0.0000 0.0000 1
Pu1 0.0000 0.0000 0.5000 1
Ga1 0.5000 0.5000 0.5000 1
```



# 11
This entry pairs a crystal structure of DyGa12Rh4 with its simulated X-ray powder pattern. Radiation: copper Kα. Structure: a structure optimized by DFT (GGA-PBE).

Principal peaks in the range 2θ from 15° to 90°, sorted by position:
2θ 28.9, I 34.3
2θ 32.4, I 100.0
2θ 38.5, I 55.8
2θ 46.4, I 29.4
2θ 51.1, I 55.8
2θ 53.4, I 31.2
2θ 67.7, I 14.9
2θ 73.4, I 16.6

Structure:
```
data_DyGa12Rh4
_chemical_formula_sum 'Dy1 Ga12 Rh4'
_cell_length_a 7.5772
_cell_length_b 7.5772
_cell_length_c 7.5772
_cell_angle_alpha 109.47
_cell_angle_beta 109.47
_cell_angle_gamma 109.47
_symmetry_space_group_name_H-M 'P 1'
_symmetry_Int_Tables_number 1
loop_
_symmetry_equiv_pos_as_xyz
'x,y,z'
loop_
_atom_site_label
_atom_site_fract_x
_atom_site_fract_y
_atom_site_fract_z
_atom_site_occupancy
Dy1 0.0000 0.0000 0.0000 1
Ga1 0.1572 0.3403 0.4976 1
Ga2 0.1572 0.6597 0.8169 1
Ga3 0.1831 0.8428 0.3403 1
Ga4 0.3403 0.1831 0.8428 1
Ga5 0.3403 0.4976 0.1572 1
Ga6 0.4976 0.1572 0.3403 1
Ga7 0.5024 0.8428 0.6597 1
Ga8 0.6597 0.5024 0.8428 1
Ga9 0.6597 0.8169 0.1572 1
Ga10 0.8169 0.1572 0.6597 1
Ga11 0.8428 0.3403 0.1831 1
Ga12 0.8428 0.6597 0.5024 1
Rh1 0.0000 0.0000 0.5000 1
Rh2 0.0000 0.5000 0.0000 1
Rh3 0.5000 0.0000 0.0000 1
Rh4 0.5000 0.5000 0.5000 1
```



# 12
This entry pairs a crystal structure of DyGa12Rh6 with its simulated X-ray powder pattern. Radiation: copper Kα. Structure: a structure optimized by DFT (GGA-PBE).

Principal peaks in the range 2θ from 15° to 90°, sorted by position:
2θ 26.1, I 65.9
2θ 34.5, I 100.0
2θ 35.1, I 69.5
2θ 41.4, I 68.7
2θ 41.9, I 59.2
2θ 45.4, I 48.1
2θ 46.1, I 80.2
2θ 51.1, I 64.2

Structure:
```
data_DyGa12Rh6
_chemical_formula_sum 'Dy1 Ga12 Rh6'
_cell_length_a 7.1540
_cell_length_b 7.1540
_cell_length_c 7.1540
_cell_angle_alpha 105.01
_cell_angle_beta 105.01
_cell_angle_gamma 105.01
_symmetry_space_group_name_H-M 'P 1'
_symmetry_Int_Tables_number 1
loop_
_symmetry_equiv_pos_as_xyz
'x,y,z'
loop_
_atom_site_label
_atom_site_fract_x
_atom_site_fract_y
_atom_site_fract_z
_atom_site_occupancy
Dy1 0.0000 0.0000 0.0000 1
Ga1 0.1137 0.5000 0.8863 1
Ga2 0.1137 0.8863 0.5000 1
Ga3 0.1358 0.4016 0.4016 1
Ga4 0.4016 0.1358 0.4016 1
Ga5 0.4016 0.4016 0.1358 1
Ga6 0.5000 0.1137 0.8863 1
Ga7 0.5000 0.8863 0.1137 1
Ga8 0.5984 0.5984 0.8642 1
Ga9 0.5984 0.8642 0.5984 1
Ga10 0.8642 0.5984 0.5984 1
Ga11 0.8863 0.1137 0.5000 1
Ga12 0.8863 0.5000 0.1137 1
Rh1 0.2767 0.2767 0.7024 1
Rh2 0.2767 0.7024 0.2767 1
Rh3 0.2976 0.7233 0.7233 1
Rh4 0.7024 0.2767 0.2767 1
Rh5 0.7233 0.2976 0.7233 1
Rh6 0.7233 0.7233 0.2976 1
```